1.
This entry pairs a crystal structure of Sm6Zn5Ni with its simulated X-ray diffraction stick pattern. Radiation: Cu Ka. Structure: a PBE-relaxed structure.
No peak broadening, texture or thermal motion is included.

Structure:
```
Sm6Zn5Ni
1.0
-2.552 3.617 7.646
2.552 -3.617 7.646
2.552 3.617 -7.646
Sm Zn Ni
6 5 1
direct
0.081 0.338 0.743
0.239 0.000 0.239
0.405 0.662 0.743
0.595 0.338 0.257
0.761 0.000 0.761
0.919 0.662 0.257
0.177 0.177 0.000
0.332 0.832 0.500
0.500 0.500 0.000
0.668 0.168 0.500
0.823 0.823 0.000
0.000 0.500 0.500
```

Principal peaks in the range 10° ≤ 2θ ≤ 80°, by intensity:
d/Å	2θ (°)	I/Imax
2.553	35.15	100
1.474	63.05	23
3.610	24.66	16
1.803	50.62	11
1.473	63.14	11
1.277	74.28	9
1.809	50.46	6
2.084	43.41	5
1.613	57.09	5
1.617	56.95	2
1.204	79.65	2
1.274	74.45	2

***

2.
This entry pairs a crystal structure of AcGa8Pd2 with its simulated X-ray diffraction stick pattern. Radiation: Cu Ka. Structure: a PBE-relaxed structure.
No peak broadening, texture or thermal motion is included.

Structure:
```
AcGa8Pd2
1.0
5.638 0.000 0.000
0.000 5.638 0.000
0.000 0.000 8.605
Ac Ga Pd
1 8 2
direct
0.000 0.000 0.000
0.254 0.254 0.303
0.254 0.254 0.697
0.254 0.746 0.303
0.254 0.746 0.697
0.746 0.254 0.303
0.746 0.254 0.697
0.746 0.746 0.303
0.746 0.746 0.697
0.000 0.500 0.500
0.500 0.000 0.500
```

Principal peaks in the range 10° ≤ 2θ ≤ 80°, by intensity:
d/Å	2θ (°)	I/Imax
2.358	38.17	100
3.617	24.61	74
1.993	45.50	39
4.716	18.82	36
8.605	10.28	28
1.210	79.17	23
2.328	38.67	23
5.638	15.72	22
2.010	45.10	22
1.746	52.41	19
3.420	26.05	18
1.637	56.20	14

***

> What is the formula in the second record?

AcGa8Pd2